Simulated PXRD pattern
Compound: Cu6MoO8
Radiation: copper Kα
Structure: a structure optimized by DFT (PBE+U)
Lines closer than 0.1° are merged.

Structure:
a = 5.503 Å, b = 5.503 Å, c = 5.503 Å
α = 90.14°, β = 90.14°, γ = 90.14°
Fractional positions:
Cu 0.001 0.256 0.500
Cu 0.256 0.500 0.001
Cu 0.500 0.001 0.256
Cu 0.500 0.999 0.744
Cu 0.744 0.500 0.999
Cu 0.999 0.744 0.500
Mo 0.000 0.000 0.000
O 0.230 0.768 0.769
O 0.231 0.770 0.232
O 0.232 0.231 0.770
O 0.232 0.232 0.232
O 0.768 0.768 0.768
O 0.768 0.769 0.230
O 0.769 0.230 0.768
O 0.770 0.232 0.231

Peak list (6 most intense, 15 to 90 degrees two-theta, by intensity)
- 2θ 36.51, intensity 100
- 2θ 40.11, intensity 38
- 2θ 16.11, intensity 29
- 2θ 68.16, intensity 16
- 2θ 63.15, intensity 13
- 2θ 58.01, intensity 13



Simulated PXRD pattern
Compound: LiFe2OF5
Radiation: copper Kα
Structure: a structure optimized by DFT (PBE+U)
Lines closer than 0.1° are merged.

Structure:
a = 5.225 Å, b = 5.225 Å, c = 13.870 Å
α = 90.00°, β = 90.00°, γ = 120.00°
Fractional positions:
Li 0.051 0.004 0.000
Li 0.952 0.949 0.667
Li 0.996 0.048 0.333
Fe 0.320 0.660 0.485
Fe 0.340 0.659 0.818
Fe 0.341 0.680 0.152
Fe 0.657 0.341 0.818
Fe 0.659 0.316 0.152
Fe 0.684 0.343 0.485
O 0.002 0.364 0.416
O 0.362 0.998 0.083
O 0.636 0.638 0.750
F 0.000 0.630 0.900
F 0.001 0.663 0.569
F 0.012 0.343 0.080
F 0.331 0.988 0.746
F 0.337 0.339 0.903
F 0.350 0.013 0.412
F 0.370 0.370 0.233
F 0.376 0.374 0.564
F 0.626 0.002 0.898
F 0.630 0.000 0.566
F 0.657 0.669 0.413
F 0.661 0.999 0.236
F 0.663 0.650 0.079
F 0.987 0.337 0.746
F 0.998 0.624 0.231

Peak list (6 most intense, 15 to 90 degrees two-theta, by intensity)
- 2θ 39.62, intensity 100
- 2θ 19.20, intensity 93
- 2θ 19.62, intensity 63
- 2θ 52.88, intensity 59
- 2θ 27.58, intensity 58
- 2θ 61.47, intensity 27